The following is a calculated powder X-ray diffraction pattern of LaSbTeH. It was derived from a cell relaxed with GGA-PBE, using Cu Ka.
Intensities are scaled so that the largest is 100.

The 6 most intense peaks (2θ = 10–90°), low angle first:
| hkl | 2θ/deg | intensity |
| --- | --- | --- |
| 1 0 0 | 18.31 | 27 |
| 1 1 -1 | 32.76 | 100 |
| 0 0 2 | 33.89 | 49 |
| 1 1 1 | 34.02 | 93 |
| 2 0 0 | 37.12 | 29 |
| 0 2 0 | 44.59 | 23 |

a b c (Å): 4.8549 4.0641 5.3009
angles (deg): 90.00 93.74 90.00
Space group Pm (No. 6)
Inequivalent atoms, fractional coordinates:
La  0.0000  0.0000  0.0000 [1 per cell]
Sb  0.0940  0.5000  0.5011 [1 per cell]
Te  0.5810  0.0000  0.4790 [1 per cell]
H  0.7759  0.5000  0.9841 [1 per cell]


The following is a calculated powder X-ray diffraction pattern of BaYAu10. It was derived from a cell relaxed with GGA-PBE, using Cu Ka.
Intensities are scaled so that the largest is 100.

The 6 most intense peaks (2θ = 10–90°), low angle first:
| hkl | 2θ/deg | intensity |
| --- | --- | --- |
| 0 1 1 | 18.18 | 35 |
| 1 1 3 | 36.83 | 100 |
| 1 2 0 | 37.25 | 41 |
| 2 0 0 | 37.90 | 48 |
| 1 0 4 | 41.10 | 25 |
| 1 2 2 | 41.62 | 59 |

a b c (Å): 4.7475 5.6060 9.9099
angles (deg): 90.00 90.00 90.00
Space group Pmmm (No. 47)
Inequivalent atoms, fractional coordinates:
Ba  0.0000  0.0000  0.0000 [1 per cell]
Y  0.0000  0.5000  0.5000 [1 per cell]
Au  0.0000  0.0000  0.3459 [2 per cell]
Au  0.0000  0.5000  0.1884 [2 per cell]
Au  0.5000  0.0000  0.5000 [1 per cell]
Au  0.5000  0.2520  0.2551 [4 per cell]
Au  0.5000  0.5000  0.0000 [1 per cell]


Q: What is the formula in the first record?
A: LaSbTeH